[1]
Starting from a structure optimized by DFT (PBE+U), the powder diffractogram of Fe4OF7 was calculated for copper Kα.
Kinematic intensities with the Lorentz-polarization factor, no thermal factor.

Cell and atoms:
Cell: 5.805 4.809 10.847 Å, 90.00 97.69 90.00°
Space group P2_1 (No. 4)
One atom of each set of equivalent atoms:
Fe: 0.007 0.000 0.253 (multiplicity 2)
Fe: 0.243 0.481 0.489 (multiplicity 2)
Fe: 0.249 0.994 0.997 (multiplicity 2)
Fe: 0.479 0.471 0.257 (multiplicity 2)
O: 0.237 0.295 0.317 (multiplicity 2)
F: 0.020 0.789 0.425 (multiplicity 2)
F: 0.036 0.679 0.931 (multiplicity 2)
F: 0.241 0.185 0.818 (multiplicity 2)
F: 0.277 0.700 0.672 (multiplicity 2)
F: 0.281 0.782 0.171 (multiplicity 2)
F: 0.471 0.197 0.584 (multiplicity 2)
F: 0.472 0.294 0.082 (multiplicity 2)

Top 10 peaks for 10° ≤ 2θ ≤ 90°, low angle first:
h k l, Position (°2θ), d/Å, I (rel.)
1 1 1, 26.20, 3.401, 100.0
1 1 -3, 33.33, 2.689, 57.1
0 1 4, 38.35, 2.347, 21.0
0 2 4, 50.94, 1.793, 65.6
2 2 2, 53.91, 1.701, 19.9
2 0 -6, 56.79, 1.621, 10.3
1 3 1, 60.90, 1.521, 9.9
3 1 -5, 63.58, 1.463, 12.9
2 0 6, 64.87, 1.437, 23.2
4 2 -4, 82.14, 1.173, 8.8


[2]
Starting from a structure optimized by DFT (PBE+U), the powder diffractogram of Fe6OF11 was calculated for copper Kα.
Kinematic intensities with the Lorentz-polarization factor, no thermal factor.

Cell and atoms:
Cell: 9.465 6.836 7.507 Å, 90.00 109.97 90.00°
Space group Cm (No. 8)
One atom of each set of equivalent atoms:
Fe: 0.000 0.000 0.000 (multiplicity 2)
Fe: 0.003 0.000 0.482 (multiplicity 2)
Fe: 0.171 0.500 0.665 (multiplicity 2)
Fe: 0.193 0.500 0.162 (multiplicity 2)
Fe: 0.336 0.000 0.830 (multiplicity 2)
Fe: 0.342 0.000 0.325 (multiplicity 2)
O: 0.394 0.500 0.189 (multiplicity 2)
F: 0.004 0.301 0.503 (multiplicity 4)
F: 0.080 0.500 0.878 (multiplicity 2)
F: 0.102 0.000 0.796 (multiplicity 2)
F: 0.176 0.205 0.159 (multiplicity 4)
F: 0.239 0.000 0.524 (multiplicity 2)
F: 0.258 0.500 0.449 (multiplicity 2)
F: 0.336 0.295 0.820 (multiplicity 4)
F: 0.459 0.000 0.138 (multiplicity 2)

Top 10 peaks for 10° ≤ 2θ ≤ 90°, low angle first:
h k l, Position (°2θ), d/Å, I (rel.)
0 2 0, 26.07, 3.418, 99.2
2 0 -2, 26.34, 3.383, 100.0
3 1 0, 32.92, 2.720, 59.5
1 1 2, 33.05, 2.710, 59.8
2 2 1, 37.99, 2.369, 33.0
1 3 2, 50.56, 1.805, 68.0
5 1 -2, 50.73, 1.799, 32.2
1 1 -4, 51.00, 1.791, 33.6
5 3 -2, 64.57, 1.443, 23.1
1 3 -4, 64.80, 1.439, 24.1


[3]
Starting from a structure optimized by DFT (PBE+U), the powder diffractogram of Fe5O2F8 was calculated for copper Kα.
Kinematic intensities with the Lorentz-polarization factor, no thermal factor.

Cell and atoms:
Cell: 6.842 6.778 16.028 Å, 90.00 90.32 90.00°
Space group C2 (No. 5)
One atom of each set of equivalent atoms:
Fe: 0.000 0.000 0.000 (multiplicity 2)
Fe: 0.000 0.016 0.401 (multiplicity 4)
Fe: 0.000 0.464 0.500 (multiplicity 2)
Fe: 0.010 0.494 0.308 (multiplicity 4)
Fe: 0.013 0.999 0.193 (multiplicity 4)
Fe: 0.029 0.500 0.899 (multiplicity 4)
O: 0.003 0.308 0.598 (multiplicity 4)
O: 0.175 0.999 0.096 (multiplicity 4)
F: 0.000 0.296 0.000 (multiplicity 2)
F: 0.000 0.703 0.000 (multiplicity 2)
F: 0.001 0.704 0.799 (multiplicity 4)
F: 0.002 0.292 0.802 (multiplicity 4)
F: 0.002 0.711 0.404 (multiplicity 4)
F: 0.190 0.001 0.717 (multiplicity 4)
F: 0.197 0.001 0.287 (multiplicity 4)
F: 0.205 0.999 0.902 (multiplicity 4)
F: 0.208 0.005 0.500 (multiplicity 4)

Top 10 peaks for 10° ≤ 2θ ≤ 90°, low angle first:
h k l, Position (°2θ), d/Å, I (rel.)
2 0 0, 26.05, 3.421, 100.0
0 2 0, 26.30, 3.389, 93.8
1 1 -5, 33.52, 2.673, 54.5
1 1 5, 33.65, 2.663, 55.8
2 0 5, 38.64, 2.330, 29.6
3 1 -5, 50.82, 1.797, 30.8
3 1 5, 51.09, 1.788, 30.9
1 3 5, 51.24, 1.783, 58.5
3 3 -5, 64.87, 1.437, 20.6
3 3 5, 65.10, 1.433, 20.5